This entry pairs a crystal structure of Na3FeC2O6 with its theoretical XRD peak list. Radiation: Cu Kα, 1.54184 Å. Structure: a PBE+U-relaxed structure.
Intensities are scaled so that the largest is 100.

Top 10 peaks for 5 to 70 degrees two-theta, by angle:
(hkl)	d_spacing	I (rel.)
0 0 1	7.195	99.7
1 0 0	4.448	28.1
1 0 1	3.783	16.3
1 0 2	2.797	100.0
1 1 0	2.568	42.9
2 0 1	2.125	29.5
2 0 2	1.892	47.0
0 2 3	1.631	13.8
2 1 2	1.523	15.2
1 1 4	1.473	14.0

```
data_Na3FeC2O6
_cell_length_a 5.136
_cell_length_b 5.136
_cell_length_c 7.195
_cell_angle_alpha 90.00
_cell_angle_beta 90.00
_cell_angle_gamma 120.00
_space_group_name_H-M_alt 'P 1'
_space_group_IT_number 1
loop_
_space_group_symop_operation_xyz
'x,y,z'
loop_
_atom_site_label
_atom_site_type_symbol
_atom_site_fract_x
_atom_site_fract_y
_atom_site_fract_z
_atom_site_occupancy
Na1 Na 0.000 0.000 0.000 1
Na2 Na 0.333 0.667 0.742 1
Na3 Na 0.667 0.333 0.258 1
Fe1 Fe 0.000 0.000 0.500 1
C1 C 0.333 0.667 0.321 1
C2 C 0.667 0.333 0.679 1
O1 O 0.187 0.374 0.314 1
O2 O 0.187 0.813 0.314 1
O3 O 0.374 0.187 0.686 1
O4 O 0.626 0.813 0.314 1
O5 O 0.813 0.187 0.686 1
O6 O 0.813 0.626 0.686 1
```


This entry pairs a crystal structure of Na2FePCO7 with its theoretical XRD peak list. Radiation: Cu Kα, 1.54184 Å. Structure: a PBE+U-relaxed structure.
Intensities are scaled so that the largest is 100.

Top 10 peaks for 5 to 70 degrees two-theta, by angle:
(hkl)	d_spacing	I (rel.)
0 0 1	8.955	85.0
0 1 1	5.276	44.5
1 0 -1	4.647	52.4
1 0 1	4.485	63.3
1 0 -2	3.491	24.6
0 2 0	3.265	100.0
1 1 2	2.985	31.6
2 0 0	2.651	60.9
0 2 2	2.639	49.4
1 1 3	2.382	30.2

```
data_Na2FePCO7
_cell_length_a 5.309
_cell_length_b 6.529
_cell_length_c 8.962
_cell_angle_alpha 90.00
_cell_angle_beta 92.31
_cell_angle_gamma 90.00
_space_group_name_H-M_alt 'P 1'
_space_group_IT_number 1
loop_
_space_group_symop_operation_xyz
'x,y,z'
loop_
_atom_site_label
_atom_site_type_symbol
_atom_site_fract_x
_atom_site_fract_y
_atom_site_fract_z
_atom_site_occupancy
Na1 Na 0.221 0.000 0.083 1
Na2 Na 0.257 0.259 0.728 1
Na3 Na 0.743 0.759 0.272 1
Na4 Na 0.779 0.500 0.917 1
Fe1 Fe 0.218 0.469 0.345 1
Fe2 Fe 0.782 0.969 0.655 1
P1 P 0.274 0.977 0.426 1
P2 P 0.726 0.477 0.574 1
C1 C 0.295 0.479 0.070 1
C2 C 0.705 0.979 0.930 1
O1 O 0.066 0.478 0.121 1
O2 O 0.117 0.988 0.567 1
O3 O 0.204 0.789 0.326 1
O4 O 0.223 0.165 0.324 1
O5 O 0.337 0.460 0.932 1
O6 O 0.441 0.464 0.526 1
O7 O 0.476 0.495 0.173 1
O8 O 0.524 0.995 0.827 1
O9 O 0.559 0.964 0.474 1
O10 O 0.663 0.960 0.068 1
O11 O 0.777 0.665 0.676 1
O12 O 0.796 0.289 0.674 1
O13 O 0.883 0.488 0.433 1
O14 O 0.934 0.978 0.879 1
```


This entry pairs a crystal structure of Na5Fe2P2C2O14 with its theoretical XRD peak list. Radiation: Cu Kα, 1.54184 Å. Structure: a PBE+U-relaxed structure.
Intensities are scaled so that the largest is 100.

Top 10 peaks for 5 to 70 degrees two-theta, by angle:
(hkl)	d_spacing	I (rel.)
0 0 2	8.941	97.4
0 1 2	5.275	51.0
1 0 -2	4.548	54.5
1 0 2	4.478	50.7
1 0 -4	3.427	35.5
0 2 0	3.267	71.6
0 2 -1	3.213	35.0
-1 2 2	2.653	35.3
0 2 -4	2.638	66.3
2 0 0	2.612	100.0

```
data_Na5Fe2P2C2O14
_cell_length_a 5.228
_cell_length_b 6.533
_cell_length_c 17.885
_cell_angle_alpha 90.01
_cell_angle_beta 91.01
_cell_angle_gamma 90.02
_space_group_name_H-M_alt 'P 1'
_space_group_IT_number 1
loop_
_space_group_symop_operation_xyz
'x,y,z'
loop_
_atom_site_label
_atom_site_type_symbol
_atom_site_fract_x
_atom_site_fract_y
_atom_site_fract_z
_atom_site_occupancy
Na1 Na 0.000 0.000 0.000 1
Na2 Na 0.000 0.034 0.500 1
Na3 Na 0.480 0.294 0.405 1
Na4 Na 0.480 0.541 0.074 1
Na5 Na 0.480 0.739 0.905 1
Na6 Na 0.481 0.492 0.574 1
Na7 Na 0.979 0.725 0.671 1
Na8 Na 0.980 0.307 0.171 1
Na9 Na 0.987 0.808 0.171 1
Na10 Na 0.988 0.224 0.671 1
Fe1 Fe 0.021 0.574 0.371 1
Fe2 Fe 0.022 0.460 0.871 1
Fe3 Fe 0.461 0.073 0.217 1
Fe4 Fe 0.461 0.960 0.717 1
P1 P 0.526 0.463 0.752 1
P2 P 0.526 0.570 0.252 1
P3 P 0.944 0.065 0.333 1
P4 P 0.944 0.968 0.833 1
C1 C 0.510 0.006 0.074 1
C2 C 0.510 0.027 0.574 1
C3 C 0.970 0.503 0.003 1
C4 C 0.971 0.530 0.503 1
O1 O 0.012 0.874 0.382 1
O2 O 0.015 0.159 0.882 1
O3 O 0.031 0.778 0.882 1
O4 O 0.033 0.254 0.381 1
O5 O 0.082 0.060 0.257 1
O6 O 0.082 0.971 0.757 1
O7 O 0.191 0.476 0.971 1
O8 O 0.191 0.558 0.471 1
O9 O 0.289 0.060 0.101 1
O10 O 0.290 0.972 0.601 1
O11 O 0.360 0.473 0.822 1
O12 O 0.361 0.563 0.322 1
O13 O 0.471 0.275 0.702 1
O14 O 0.472 0.758 0.202 1
O15 O 0.474 0.385 0.199 1
O16 O 0.477 0.648 0.699 1
O17 O 0.521 0.138 0.515 1
O18 O 0.522 0.895 0.015 1
O19 O 0.653 0.080 0.319 1
O20 O 0.653 0.955 0.819 1
O21 O 0.720 0.062 0.109 1
O22 O 0.720 0.972 0.609 1
O23 O 0.775 0.481 0.958 1
O24 O 0.775 0.549 0.457 1
O25 O 0.819 0.465 0.775 1
O26 O 0.819 0.567 0.275 1
O27 O 0.952 0.546 0.073 1
O28 O 0.953 0.486 0.573 1
```


This entry pairs a crystal structure of Na5Fe2P2C2O14 with its theoretical XRD peak list. Radiation: Cu Kα, 1.54184 Å. Structure: a PBE+U-relaxed structure.
Intensities are scaled so that the largest is 100.

Top 10 peaks for 5 to 70 degrees two-theta, by angle:
(hkl)	d_spacing	I (rel.)
0 1 0	9.021	95.8
0 1 -2	4.599	43.0
0 1 2	4.495	44.5
0 2 -2	3.470	27.8
2 0 0	3.310	100.0
2 -2 0	2.703	28.2
2 1 -2	2.672	26.2
0 3 -2	2.643	49.1
0 0 4	2.632	74.8
4 0 0	1.655	26.1

```
data_Na5Fe2P2C2O14
_cell_length_a 6.622
_cell_length_b 9.027
_cell_length_c 10.529
_cell_angle_alpha 91.50
_cell_angle_beta 90.11
_cell_angle_gamma 91.52
_space_group_name_H-M_alt 'P 1'
_space_group_IT_number 1
loop_
_space_group_symop_operation_xyz
'x,y,z'
loop_
_atom_site_label
_atom_site_type_symbol
_atom_site_fract_x
_atom_site_fract_y
_atom_site_fract_z
_atom_site_occupancy
Na1 Na 0.001 0.267 0.383 1
Na2 Na 0.012 0.259 0.865 1
Na3 Na 0.269 0.092 0.615 1
Na4 Na 0.272 0.074 0.116 1
Na5 Na 0.491 0.278 0.380 1
Na6 Na 0.509 0.722 0.620 1
Na7 Na 0.728 0.926 0.884 1
Na8 Na 0.731 0.908 0.385 1
Na9 Na 0.988 0.741 0.135 1
Na10 Na 0.999 0.733 0.617 1
Fe1 Fe 0.258 0.656 0.377 1
Fe2 Fe 0.264 0.648 0.902 1
Fe3 Fe 0.736 0.352 0.098 1
Fe4 Fe 0.742 0.344 0.623 1
P1 P 0.243 0.423 0.646 1
P2 P 0.244 0.416 0.139 1
P3 P 0.756 0.584 0.861 1
P4 P 0.757 0.577 0.354 1
C1 C 0.237 0.921 0.855 1
C2 C 0.254 0.948 0.366 1
C3 C 0.746 0.052 0.634 1
C4 C 0.763 0.079 0.145 1
O1 O 0.058 0.316 0.621 1
O2 O 0.058 0.318 0.095 1
O3 O 0.208 0.056 0.832 1
O4 O 0.239 0.443 0.285 1
O5 O 0.239 0.563 0.566 1
O6 O 0.241 0.471 0.791 1
O7 O 0.244 0.567 0.072 1
O8 O 0.248 0.092 0.362 1
O9 O 0.251 0.867 0.263 1
O10 O 0.254 0.872 0.971 1
O11 O 0.256 0.818 0.764 1
O12 O 0.264 0.884 0.476 1
O13 O 0.431 0.330 0.614 1
O14 O 0.433 0.324 0.104 1
O15 O 0.567 0.676 0.896 1
O16 O 0.569 0.670 0.386 1
O17 O 0.736 0.116 0.524 1
O18 O 0.744 0.182 0.236 1
O19 O 0.746 0.128 0.029 1
O20 O 0.749 0.133 0.737 1
O21 O 0.752 0.908 0.638 1
O22 O 0.756 0.433 0.928 1
O23 O 0.759 0.529 0.209 1
O24 O 0.761 0.437 0.434 1
O25 O 0.761 0.557 0.715 1
O26 O 0.792 0.944 0.168 1
O27 O 0.942 0.682 0.905 1
O28 O 0.942 0.684 0.379 1
```


This entry pairs a crystal structure of Na2FePCO7 with its theoretical XRD peak list. Radiation: Cu Kα, 1.54184 Å. Structure: a PBE+U-relaxed structure.
Intensities are scaled so that the largest is 100.

Top 10 peaks for 5 to 70 degrees two-theta, by angle:
(hkl)	d_spacing	I (rel.)
0 0 1	8.903	85.4
0 1 1	5.389	27.2
1 0 1	4.614	56.1
1 0 -1	4.501	65.8
1 0 2	3.458	27.7
0 2 0	3.272	100.0
0 2 2	2.695	19.9
2 0 0	2.652	42.8
1 -2 1	2.629	39.3
1 0 3	2.622	23.5

```
data_Na2FePCO7
_cell_length_a 5.306
_cell_length_b 6.551
_cell_length_c 8.916
_cell_angle_alpha 87.42
_cell_angle_beta 88.35
_cell_angle_gamma 89.39
_space_group_name_H-M_alt 'P 1'
_space_group_IT_number 1
loop_
_space_group_symop_operation_xyz
'x,y,z'
loop_
_atom_site_label
_atom_site_type_symbol
_atom_site_fract_x
_atom_site_fract_y
_atom_site_fract_z
_atom_site_occupancy
Na1 Na 0.222 0.289 0.416 1
Na2 Na 0.253 0.985 0.765 1
Na3 Na 0.747 0.015 0.235 1
Na4 Na 0.778 0.711 0.584 1
Fe1 Fe 0.222 0.736 0.155 1
Fe2 Fe 0.778 0.264 0.845 1
P1 P 0.275 0.242 0.073 1
P2 P 0.725 0.758 0.927 1
C1 C 0.294 0.757 0.432 1
C2 C 0.706 0.243 0.568 1
O1 O 0.067 0.735 0.380 1
O2 O 0.116 0.239 0.932 1
O3 O 0.208 0.058 0.184 1
O4 O 0.227 0.434 0.165 1
O5 O 0.333 0.782 0.569 1
O6 O 0.441 0.775 0.974 1
O7 O 0.478 0.746 0.331 1
O8 O 0.522 0.254 0.669 1
O9 O 0.559 0.225 0.026 1
O10 O 0.667 0.218 0.431 1
O11 O 0.773 0.566 0.835 1
O12 O 0.792 0.942 0.816 1
O13 O 0.884 0.761 0.068 1
O14 O 0.933 0.265 0.620 1
```


This entry pairs a crystal structure of Na5Fe2P2C2O14 with its theoretical XRD peak list. Radiation: Cu Kα, 1.54184 Å. Structure: a PBE+U-relaxed structure.
Intensities are scaled so that the largest is 100.

Top 10 peaks for 5 to 70 degrees two-theta, by angle:
(hkl)	d_spacing	I (rel.)
0 0 1	8.949	93.3
1 1 0	4.566	44.5
1 1 -2	4.486	44.8
1 1 1	3.439	31.8
2 -2 0	3.324	100.0
2 -2 2	2.770	27.2
1 -3 0	2.648	30.6
2 2 -2	2.621	94.5
-3 1 2	2.615	23.2
-2 2 2	2.577	21.5

```
data_Na5Fe2P2C2O14
_cell_length_a 8.455
_cell_length_b 8.513
_cell_length_c 10.308
_cell_angle_alpha 110.94
_cell_angle_beta 104.52
_cell_angle_gamma 103.59
_space_group_name_H-M_alt 'P 1'
_space_group_IT_number 1
loop_
_space_group_symop_operation_xyz
'x,y,z'
loop_
_atom_site_label
_atom_site_type_symbol
_atom_site_fract_x
_atom_site_fract_y
_atom_site_fract_z
_atom_site_occupancy
Na1 Na 0.012 0.493 0.261 1
Na2 Na 0.245 0.242 0.728 1
Na3 Na 0.254 0.949 0.926 1
Na4 Na 0.264 0.248 0.254 1
Na5 Na 0.321 0.541 0.080 1
Na6 Na 0.679 0.459 0.920 1
Na7 Na 0.736 0.752 0.746 1
Na8 Na 0.746 0.051 0.074 1
Na9 Na 0.755 0.758 0.272 1
Na10 Na 0.988 0.507 0.739 1
Fe1 Fe 0.209 0.940 0.353 1
Fe2 Fe 0.308 0.583 0.651 1
Fe3 Fe 0.692 0.417 0.349 1
Fe4 Fe 0.791 0.060 0.647 1
P1 P 0.046 0.813 0.575 1
P2 P 0.440 0.687 0.415 1
P3 P 0.560 0.313 0.585 1
P4 P 0.954 0.187 0.425 1
C1 C 0.024 0.771 0.071 1
C2 C 0.475 0.718 0.936 1
C3 C 0.525 0.282 0.064 1
C4 C 0.976 0.229 0.929 1
O1 O 0.013 0.283 0.832 1
O2 O 0.041 0.075 0.329 1
O3 O 0.077 0.308 0.067 1
O4 O 0.091 0.342 0.573 1
O5 O 0.147 0.743 0.676 1
O6 O 0.170 0.907 0.124 1
O7 O 0.174 0.940 0.537 1
O8 O 0.308 0.556 0.446 1
O9 O 0.313 0.604 0.878 1
O10 O 0.334 0.767 0.326 1
O11 O 0.415 0.164 0.435 1
O12 O 0.420 0.253 0.937 1
O13 O 0.476 0.201 0.141 1
O14 O 0.481 0.424 0.688 1
O15 O 0.519 0.576 0.312 1
O16 O 0.524 0.799 0.859 1
O17 O 0.580 0.747 0.063 1
O18 O 0.585 0.836 0.565 1
O19 O 0.666 0.233 0.674 1
O20 O 0.687 0.396 0.122 1
O21 O 0.692 0.444 0.554 1
O22 O 0.826 0.060 0.463 1
O23 O 0.830 0.093 0.876 1
O24 O 0.853 0.257 0.324 1
O25 O 0.909 0.658 0.427 1
O26 O 0.923 0.692 0.933 1
O27 O 0.959 0.925 0.671 1
O28 O 0.987 0.717 0.168 1
```


This entry pairs a crystal structure of Na5Fe2P2C2O14 with its theoretical XRD peak list. Radiation: Cu Kα, 1.54184 Å. Structure: a PBE+U-relaxed structure.
Intensities are scaled so that the largest is 100.

Top 10 peaks for 5 to 70 degrees two-theta, by angle:
(hkl)	d_spacing	I (rel.)
0 0 1	9.039	100.0
0 1 1	5.352	35.7
1 0 -2	3.452	31.2
0 2 0	3.320	49.5
1 2 -1	2.686	29.7
0 2 2	2.674	59.0
1 0 -3	2.632	21.2
2 0 0	2.619	42.7
0 2 4	1.868	20.7
0 4 0	1.660	21.1

```
data_Na5Fe2P2C2O14
_cell_length_a 5.240
_cell_length_b 6.641
_cell_length_c 9.041
_cell_angle_alpha 90.00
_cell_angle_beta 90.99
_cell_angle_gamma 90.00
_space_group_name_H-M_alt 'P 1'
_space_group_IT_number 1
loop_
_space_group_symop_operation_xyz
'x,y,z'
loop_
_atom_site_label
_atom_site_type_symbol
_atom_site_fract_x
_atom_site_fract_y
_atom_site_fract_z
_atom_site_occupancy
Na1 Na 0.000 0.000 0.000 1
Na2 Na 0.484 0.247 0.828 1
Na3 Na 0.484 0.753 0.828 1
Na4 Na 0.993 0.255 0.324 1
Na5 Na 0.993 0.745 0.324 1
Fe1 Fe 0.021 0.500 0.724 1
Fe2 Fe 0.454 0.000 0.435 1
P1 P 0.519 0.500 0.501 1
P2 P 0.939 0.000 0.660 1
C1 C 0.511 0.000 0.143 1
C2 C 0.969 0.500 0.001 1
O1 O 0.028 0.188 0.754 1
O2 O 0.028 0.812 0.754 1
O3 O 0.060 0.000 0.507 1
O4 O 0.193 0.500 0.938 1
O5 O 0.286 0.000 0.203 1
O6 O 0.380 0.500 0.654 1
O7 O 0.449 0.310 0.413 1
O8 O 0.449 0.690 0.413 1
O9 O 0.532 0.000 0.000 1
O10 O 0.643 0.000 0.648 1
O11 O 0.713 0.000 0.228 1
O12 O 0.776 0.500 0.903 1
O13 O 0.816 0.500 0.538 1
O14 O 0.938 0.500 0.139 1
```